This entry pairs a crystal structure of LiMn2SnO6 with its calculated powder diffractogram. Radiation: CuKα. Structure: DFT lattice parameters and positions (PBE+U).
Kinematic intensities with the Lorentz-polarization factor, no thermal factor.

Structural model:
abc: 5.1039 5.1851 5.4159
angles: 63.28 89.77 61.15
Space group P1 (No. 1)
Unique sites:
Li1 0.0000 0.0000 0.0000 x1
Mn1 0.2121 0.5681 0.6312 x1
Mn2 0.7206 0.5546 0.1410 x1
Sn1 0.5098 0.9752 0.5261 x1
O1 0.1106 0.0451 0.3590 x1
O2 0.3236 0.1050 0.8321 x1
O3 0.4423 0.4532 0.3555 x1
O4 0.5769 0.4879 0.8416 x1
O5 0.8326 0.7301 0.3524 x1
O6 0.9318 0.7276 0.8444 x1

Peak list (8 most intense, 10° ≤ 2θ ≤ 80°, by intensity)
2θ/deg  intensity  index
20.94  100  0 1 1
19.06  69  0 0 1
20.65  50  1 0 0
31.94  48  1 0 1
32.38  44  1 1 -1
34.32  43  -1 1 1
33.25  39  0 1 2
24.01  38  1 1 1